Entry 1:
Theoretical powder diffractogram
Compound: MgVCr2Fe3P6O24
Radiation: CuKα
Structure: a structure optimized by DFT (PBE+U)

Structural model:
Cell: 8.5885 8.6814 8.6888 Å, 119.91 90.34 119.01°
Positions (direct):
Mg: 0.0000 0.0000 0.0000
V: 0.2860 0.5203 0.7596
Cr: 0.4041 0.2628 0.1322
Cr: 0.8750 0.2402 0.6213
Fe: 0.4492 0.9605 0.4831
Fe: 0.6455 0.7540 0.8775
Fe: 0.8445 0.5610 0.2792
P: 0.1446 0.0526 0.6747
P: 0.1527 0.4694 0.3779
P: 0.1540 0.7711 0.0924
P: 0.6307 0.7420 0.1754
P: 0.6324 0.0527 0.8801
P: 0.6400 0.4491 0.5716
O: 0.0984 0.2136 0.6884
O: 0.1127 0.4139 0.5264
O: 0.1156 0.5847 0.8896
O: 0.1902 0.1014 0.8757
O: 0.1931 0.9648 0.0868
O: 0.1965 0.3116 0.2254
O: 0.3187 0.0858 0.6161
O: 0.3223 0.6974 0.4676
O: 0.3282 0.8554 0.2340
O: 0.4577 0.6260 0.0057
O: 0.4619 0.8302 0.8231
O: 0.4648 0.4427 0.6255
O: 0.6125 0.2257 0.0448
O: 0.6139 0.5565 0.1810
O: 0.6164 0.4200 0.3782
O: 0.6438 0.9084 0.3690
O: 0.6480 0.0892 0.7233
O: 0.6601 0.2729 0.5525
O: 0.8055 0.8587 0.1278
O: 0.8087 0.0620 0.9401
O: 0.8129 0.6705 0.7338
O: 0.9680 0.8261 0.5306
O: 0.9713 0.4335 0.2930
O: 0.9752 0.6741 0.1417

The 12 most intense peaks (10° ≤ 2θ ≤ 90°), sorted by position:
two_theta  I (rel.)
20.44  100
23.77  43
23.95  18
24.08  25
24.21  25
24.31  17
31.64  9
32.20  15
35.80  45
46.13  13
55.93  9
56.01  17

---

Entry 2:
Theoretical powder diffractogram
Compound: RbCrH8N2O8
Radiation: CuKα
Structure: a structure optimized by DFT (PBE+U)

Structural model:
Cell: 6.5018 6.5018 6.5018 Å, 114.40 114.40 100.01°
Positions (direct):
Rb: 0.0000 0.0000 0.0000
Cr: 0.5000 0.5000 0.0000
H: 0.0637 0.7176 0.4184
H: 0.2824 0.7008 0.3461
H: 0.2992 0.6453 0.5816
H: 0.3547 0.9363 0.6539
H: 0.6453 0.2992 0.5816
H: 0.7008 0.2824 0.3461
H: 0.7176 0.0637 0.4184
H: 0.9363 0.3547 0.6539
N: 0.2500 0.7500 0.5000
N: 0.7500 0.2500 0.5000
O: 0.2006 0.4680 0.0000
O: 0.2926 0.6894 0.0000
O: 0.3106 0.3106 0.6033
O: 0.4680 0.2006 0.0000
O: 0.5320 0.5320 0.7325
O: 0.6894 0.2926 0.0000
O: 0.7074 0.7074 0.3967
O: 0.7994 0.7994 0.2675

The 12 most intense peaks (10° ≤ 2θ ≤ 90°), sorted by position:
two_theta  I (rel.)
17.81  95
21.26  31
25.29  27
27.87  100
30.32  27
36.06  37
39.88  15
42.24  28
43.32  12
46.18  44
57.58  16
71.99  14

---

Entry 3:
Theoretical powder diffractogram
Compound: Ba2Tl2Zn3Fe4O12
Radiation: CuKα
Structure: a structure optimized by DFT (PBE+U)

Structural model:
Cell: 21.1884 21.1884 21.1884 Å, 169.41 169.41 14.99°
Positions (direct):
Ba: 0.1578 0.1578 0.0000
Ba: 0.8422 0.8422 0.0000
Tl: 0.2771 0.2771 0.0000
Tl: 0.7229 0.7229 0.0000
Zn: 0.0000 0.0000 0.0000
Zn: 0.0768 0.0768 0.0000
Zn: 0.9232 0.9232 0.0000
Fe: 0.3951 0.3951 0.0000
Fe: 0.4650 0.4650 0.0000
Fe: 0.5350 0.5350 0.0000
Fe: 0.6049 0.6049 0.0000
O: 0.0338 0.5338 0.5000
O: 0.1035 0.6035 0.5000
O: 0.2254 0.2254 0.0000
O: 0.3285 0.3285 0.0000
O: 0.3965 0.8965 0.5000
O: 0.4662 0.9662 0.5000
O: 0.5338 0.0338 0.5000
O: 0.6035 0.1035 0.5000
O: 0.6715 0.6715 0.0000
O: 0.7746 0.7746 0.0000
O: 0.8965 0.3965 0.5000
O: 0.9662 0.4662 0.5000

The 12 most intense peaks (10° ≤ 2θ ≤ 90°), sorted by position:
two_theta  I (rel.)
27.22  65
29.81  85
32.39  100
32.78  39
34.14  27
39.58  19
46.46  55
47.77  24
54.69  20
56.18  31
58.90  21
59.91  20

---

Entry 4:
Theoretical powder diffractogram
Compound: MoF3
Radiation: CuKα
Structure: a structure optimized by DFT (PBE+U)

Structural model:
Cell: 4.1995 4.1995 4.1995 Å, 90.00 90.00 90.00°
Positions (direct):
Mo: 0.0000 0.0000 0.0000
F: 0.0000 0.0000 0.5000
F: 0.0000 0.5000 0.0000
F: 0.5000 0.0000 0.0000

The 12 most intense peaks (10° ≤ 2θ ≤ 90°), sorted by position:
two_theta  I (rel.)
21.16  100
30.09  35
37.08  3
43.08  25
48.47  40
53.44  14
62.56  15
66.83  18
70.97  6
78.98  5
82.89  8
86.77  8

---

Entry 5:
Theoretical powder diffractogram
Compound: Al3CrO6
Radiation: CuKα
Structure: a structure optimized by DFT (PBE+U)

Structural model:
Cell: 5.2439 4.8769 7.1808 Å, 90.00 95.71 90.00°
Positions (direct):
Al: 0.0000 0.0014 0.0000
Al: 0.0000 0.9986 0.5000
Al: 0.4037 0.0024 0.7962
Al: 0.4037 0.9976 0.2962
Al: 0.4926 0.4986 0.5027
Al: 0.4926 0.5014 0.0027
Cr: 0.8988 0.4984 0.2988
Cr: 0.8988 0.5016 0.7988
O: 0.0521 0.1368 0.2448
O: 0.0521 0.8632 0.7448
O: 0.2104 0.2992 0.9057
O: 0.2104 0.7008 0.4057
O: 0.3520 0.1576 0.5528
O: 0.3520 0.8424 0.0528
O: 0.5372 0.3460 0.2442
O: 0.5372 0.6540 0.7442
O: 0.6988 0.1893 0.9039
O: 0.6988 0.8107 0.4039
O: 0.8441 0.3345 0.5465
O: 0.8441 0.6655 0.0465

The 12 most intense peaks (10° ≤ 2θ ≤ 90°), sorted by position:
two_theta  I (rel.)
24.97  70
34.34  100
36.83  59
42.28  65
51.13  16
51.28  31
56.00  31
56.12  62
64.73  26
64.79  13
66.35  53
74.92  17

---

Entry 6:
Theoretical powder diffractogram
Compound: Li2VFeP2H2O10
Radiation: CuKα
Structure: a structure optimized by DFT (PBE+U)

Structural model:
Cell: 5.1758 5.4220 7.3920 Å, 106.20 108.57 97.83°
Positions (direct):
Li: 0.2453 0.3951 0.3244
Li: 0.7547 0.6049 0.6756
V: 0.5000 0.0000 0.5000
Fe: 0.5000 0.0000 0.0000
P: 0.1762 0.3613 0.7321
P: 0.8238 0.6387 0.2679
H: 0.1399 0.9404 0.1592
H: 0.8601 0.0596 0.8408
O: 0.1291 0.7458 0.4273
O: 0.1965 0.6567 0.8406
O: 0.2265 0.2036 0.8798
O: 0.3377 0.0472 0.2229
O: 0.3853 0.3386 0.6181
O: 0.6147 0.6614 0.3819
O: 0.6623 0.9528 0.7771
O: 0.7735 0.7964 0.1202
O: 0.8035 0.3433 0.1594
O: 0.8709 0.2542 0.5727

The 12 most intense peaks (10° ≤ 2θ ≤ 90°), sorted by position:
two_theta  I (rel.)
17.58  36
18.48  43
18.67  45
22.30  26
25.65  57
26.57  100
26.79  95
28.81  83
34.59  21
35.94  35
52.64  23
55.55  29

---

Entry 7:
Theoretical powder diffractogram
Compound: NaLi2FePCO7
Radiation: CuKα
Structure: a structure optimized by DFT (PBE+U)

Structural model:
Cell: 6.5814 8.6332 10.1607 Å, 92.58 90.27 90.64°
Positions (direct):
Na: 0.0000 0.0000 0.0000
Na: 0.0009 0.9986 0.4960
Na: 0.2627 0.8271 0.7456
Na: 0.5027 0.4862 0.2497
Li: 0.2548 0.8240 0.2487
Li: 0.4788 0.0197 0.0085
Li: 0.4841 0.0166 0.5004
Li: 0.5201 0.4713 0.7457
Li: 0.7442 0.6555 0.9978
Li: 0.7491 0.6525 0.5004
Li: 0.9792 0.4694 0.7440
Li: 0.9879 0.4737 0.2460
Fe: 0.2465 0.4001 0.0161
Fe: 0.2509 0.3965 0.5174
Fe: 0.7458 0.0885 0.2323
Fe: 0.7475 0.0892 0.7321
P: 0.2492 0.1504 0.2710
P: 0.2562 0.1617 0.7721
P: 0.7453 0.3363 0.9770
P: 0.7517 0.3327 0.4787
C: 0.2573 0.6937 0.4783
C: 0.2595 0.7012 0.9897
C: 0.7490 0.7809 0.7622
C: 0.7567 0.7855 0.2652
O: 0.0600 0.0448 0.2386
O: 0.0610 0.0667 0.7321
O: 0.2308 0.3117 0.2119
O: 0.2375 0.5991 0.3755
O: 0.2411 0.6032 0.8884
O: 0.2557 0.3278 0.7193
O: 0.2563 0.6371 0.5944
O: 0.2561 0.6489 0.1081
O: 0.2734 0.1746 0.9253
O: 0.2742 0.1721 0.4239
O: 0.2775 0.8412 0.4623
O: 0.2798 0.8476 0.9727
O: 0.4316 0.0561 0.2133
O: 0.4354 0.0642 0.7140
O: 0.5616 0.4403 0.0167
O: 0.5673 0.4385 0.5158
O: 0.7319 0.1698 0.5348
O: 0.7320 0.1730 0.0341
O: 0.7326 0.8907 0.3601
O: 0.7421 0.8838 0.8598
O: 0.7487 0.6345 0.7872
O: 0.7539 0.8262 0.1436
O: 0.7547 0.3180 0.8230
O: 0.7556 0.8268 0.6419
O: 0.7713 0.3138 0.3257
O: 0.7822 0.6427 0.2957
O: 0.9328 0.4313 0.0310
O: 0.9376 0.4257 0.5377

The 12 most intense peaks (10° ≤ 2θ ≤ 90°), sorted by position:
two_theta  I (rel.)
10.26  98
19.90  35
20.70  37
26.51  37
27.10  100
31.11  24
33.85  22
34.12  23
34.49  20
35.37  40
36.46  21
55.88  29